1.
Structure and simulated powder X-ray diffraction pattern of VO2 (a crystal structure in the Materials Project, relaxed with GGA+U; copper Kα).
Kinematic intensities with the Lorentz-polarization factor, no thermal factor.

The 8 most intense peaks (2θ = 10–90°), low angle first:
Position (°2θ), Rel. int., hkl
18.3, 55, 0 1 -1
23.8, 62, 1 -1 1
30.1, 71, -1 1 1
31.5, 29, 1 0 1
31.7, 29, 2 -1 0
34.0, 100, 1 1 0
34.2, 32, 2 0 -1
56.1, 21, 2 0 -3

Cell and atoms:
```
data_VO2
_cell_length_a 5.719
_cell_length_b 5.736
_cell_length_c 5.753
_cell_angle_alpha 117.83
_cell_angle_beta 98.61
_cell_angle_gamma 112.23
_symmetry_space_group_name_H-M 'P -1'
_symmetry_Int_Tables_number 2
loop_
_symmetry_equiv_pos_as_xyz
'x,y,z'
'-x,-y,-z'
loop_
_atom_site_label
_atom_site_type_symbol
_atom_site_fract_x
_atom_site_fract_y
_atom_site_fract_z
V1 V 0.000 0.000 0.000
V2 V 0.156 0.749 0.405
V3 V 0.500 0.500 0.000
O1 O 0.194 0.463 0.732
O2 O 0.232 0.962 0.268
O3 O 0.261 0.018 0.781
O4 O 0.263 0.469 0.231
```

=====

2.
Structure and simulated powder X-ray diffraction pattern of V4O7 (a crystal structure in the Materials Project, relaxed with GGA+U; copper Kα).
Kinematic intensities with the Lorentz-polarization factor, no thermal factor.

The 8 most intense peaks (2θ = 10–90°), low angle first:
Position (°2θ), Rel. int., hkl
11.9, 44, 0 1 0
13.6, 100, 0 1 -1
14.9, 35, 1 -1 0
15.3, 63, 1 0 -1
18.5, 55, 1 0 1
21.8, 21, 1 1 0
23.0, 35, -1 1 2
33.2, 24, 0 2 -3

Cell and atoms:
```
data_V4O7
_cell_length_a 6.735
_cell_length_b 8.018
_cell_length_c 10.021
_cell_angle_alpha 96.76
_cell_angle_beta 99.01
_cell_angle_gamma 109.76
_symmetry_space_group_name_H-M 'P -1'
_symmetry_Int_Tables_number 2
loop_
_symmetry_equiv_pos_as_xyz
'x,y,z'
'-x,-y,-z'
loop_
_atom_site_label
_atom_site_type_symbol
_atom_site_fract_x
_atom_site_fract_y
_atom_site_fract_z
V1 V 0.121 0.497 0.134
V2 V 0.201 0.538 0.458
V3 V 0.330 0.906 0.051
V4 V 0.350 0.248 0.287
O1 O 0.099 0.606 0.294
O2 O 0.147 0.653 0.997
O3 O 0.207 0.305 0.411
O4 O 0.259 0.022 0.197
O5 O 0.311 0.382 0.157
O6 O 0.376 0.045 0.916
O7 O 0.376 0.679 0.623
```

=====

3.
Structure and simulated powder X-ray diffraction pattern of VO2 (a crystal structure in the Materials Project, relaxed with GGA+U; copper Kα).
Kinematic intensities with the Lorentz-polarization factor, no thermal factor.

The 8 most intense peaks (2θ = 10–90°), low angle first:
Position (°2θ), Rel. int., hkl
18.8, 22, 2 0 0
21.4, 100, 1 1 -1
28.6, 53, 2 2 0
38.2, 33, 2 0 2
46.5, 47, 3 3 -1
52.2, 12, 1 1 3
56.4, 12, 4 2 2
62.0, 13, 5 3 1

Cell and atoms:
```
data_VO2
_cell_length_a 9.447
_cell_length_b 8.322
_cell_length_c 5.492
_cell_angle_alpha 90.00
_cell_angle_beta 91.05
_cell_angle_gamma 90.00
_symmetry_space_group_name_H-M 'C 1 2 1'
_symmetry_Int_Tables_number 5
loop_
_symmetry_equiv_pos_as_xyz
'x,y,z'
'-x,y,-z'
'x+1/2,y+1/2,z'
'-x+1/2,y+1/2,-z'
loop_
_atom_site_label
_atom_site_type_symbol
_atom_site_fract_x
_atom_site_fract_y
_atom_site_fract_z
V1 V 0.000 0.000 0.000
V2 V 0.000 0.498 0.500
V3 V 0.239 0.678 0.752
V4 V 0.244 0.320 0.745
O1 O 0.119 0.506 0.817
O2 O 0.126 0.998 0.300
O3 O 0.142 0.826 0.911
O4 O 0.145 0.321 0.438
O5 O 0.145 0.668 0.441
O6 O 0.146 0.178 0.940
```

=====

4.
Structure and simulated powder X-ray diffraction pattern of V4O7 (a crystal structure in the Materials Project, relaxed with GGA+U; copper Kα).
Kinematic intensities with the Lorentz-polarization factor, no thermal factor.

The 8 most intense peaks (2θ = 10–90°), low angle first:
Position (°2θ), Rel. int., hkl
20.6, 63, 1 1 0
26.2, 90, 1 1 2
29.3, 65, 1 0 2
31.5, 81, 1 2 0
32.2, 40, 0 2 2
33.9, 53, 2 0 0
35.4, 50, 1 -2 0
55.3, 100, 2 1 4

Cell and atoms:
```
data_V4O7
_cell_length_a 5.675
_cell_length_b 6.932
_cell_length_c 7.110
_cell_angle_alpha 64.45
_cell_angle_beta 70.00
_cell_angle_gamma 75.06
_symmetry_space_group_name_H-M 'P -1'
_symmetry_Int_Tables_number 2
loop_
_symmetry_equiv_pos_as_xyz
'x,y,z'
'-x,-y,-z'
loop_
_atom_site_label
_atom_site_type_symbol
_atom_site_fract_x
_atom_site_fract_y
_atom_site_fract_z
V1 V 0.184 0.092 0.260
V2 V 0.190 0.095 0.755
V3 V 0.285 0.621 0.585
V4 V 0.285 0.627 0.084
O1 O 0.018 0.171 0.524
O2 O 0.083 0.385 0.760
O3 O 0.178 0.778 0.795
O4 O 0.200 0.944 0.064
O5 O 0.358 0.334 0.090
O6 O 0.401 0.532 0.339
O7 O 0.483 0.889 0.364
```

=====

5.
Structure and simulated powder X-ray diffraction pattern of VO2 (a crystal structure in the Materials Project, relaxed with GGA+U; copper Kα).
Kinematic intensities with the Lorentz-polarization factor, no thermal factor.

The 8 most intense peaks (2θ = 10–90°), low angle first:
Position (°2θ), Rel. int., hkl
19.5, 37, 0 1 -2
19.8, 42, 0 1 2
20.2, 100, 0 2 0
34.0, 27, 0 0 4
35.6, 32, 1 1 -2
35.7, 31, 1 1 2
36.0, 23, 1 2 0
51.4, 27, 1 4 0

Cell and atoms:
```
data_VO2
_cell_length_a 3.033
_cell_length_b 8.773
_cell_length_c 10.537
_cell_angle_alpha 90.86
_cell_angle_beta 90.01
_cell_angle_gamma 90.05
_symmetry_space_group_name_H-M 'P 1'
_symmetry_Int_Tables_number 1
loop_
_symmetry_equiv_pos_as_xyz
'x,y,z'
loop_
_atom_site_label
_atom_site_type_symbol
_atom_site_fract_x
_atom_site_fract_y
_atom_site_fract_z
V1 V 0.000 0.000 0.000
V2 V 0.002 0.499 0.212
V3 V 0.055 0.493 0.721
V4 V 0.490 0.864 0.714
V5 V 0.500 0.859 0.211
V6 V 0.502 0.359 0.998
V7 V 0.553 0.365 0.491
V8 V 0.990 0.994 0.497
O1 O 0.001 0.318 0.122
O2 O 0.002 0.407 0.889
O3 O 0.037 0.496 0.532
O4 O 0.479 0.644 0.747
O5 O 0.488 0.041 0.622
O6 O 0.491 0.944 0.385
O7 O 0.498 0.853 0.035
O8 O 0.500 0.138 0.968
O9 O 0.501 0.541 0.089
O10 O 0.502 0.452 0.322
O11 O 0.537 0.362 0.680
O12 O 0.979 0.214 0.465
O13 O 0.987 0.817 0.590
O14 O 0.991 0.914 0.826
O15 O 0.999 0.006 0.176
O16 O 0.999 0.720 0.241
```

=====

What is the formula in the first record?
VO2

=====

What did the second record say?
Structure and simulated powder X-ray diffraction pattern of V4O7 (a crystal structure in the Materials Project, relaxed with GGA+U; copper Kα).
Kinematic intensities with the Lorentz-polarization factor, no thermal factor.

The 8 most intense peaks (2θ = 10–90°), low angle first:
Position (°2θ), Rel. int., hkl
11.9, 44, 0 1 0
13.6, 100, 0 1 -1
14.9, 35, 1 -1 0
15.3, 63, 1 0 -1
18.5, 55, 1 0 1
21.8, 21, 1 1 0
23.0, 35, -1 1 2
33.2, 24, 0 2 -3

Cell and atoms:
```
data_V4O7
_cell_length_a 6.735
_cell_length_b 8.018
_cell_length_c 10.021
_cell_angle_alpha 96.76
_cell_angle_beta 99.01
_cell_angle_gamma 109.76
_symmetry_space_group_name_H-M 'P -1'
_symmetry_Int_Tables_number 2
loop_
_symmetry_equiv_pos_as_xyz
'x,y,z'
'-x,-y,-z'
loop_
_atom_site_label
_atom_site_type_symbol
_atom_site_fract_x
_atom_site_fract_y
_atom_site_fract_z
V1 V 0.121 0.497 0.134
V2 V 0.201 0.538 0.458
V3 V 0.330 0.906 0.051
V4 V 0.350 0.248 0.287
O1 O 0.099 0.606 0.294
O2 O 0.147 0.653 0.997
O3 O 0.207 0.305 0.411
O4 O 0.259 0.022 0.197
O5 O 0.311 0.382 0.157
O6 O 0.376 0.045 0.916
O7 O 0.376 0.679 0.623
```

=====

What is the formula in the fourth record?
V4O7